Record 1
Theoretical XRD peak list of Pm5Bi2N2 for Cu Kα X-rays, from a crystal structure in Alexandria, relaxed with GGA-PBE.
Lines closer than 0.1° are merged.

Crystal structure
```
9
Lattice="0.000 4.875 7.793 3.104 0.000 7.793 3.104 4.875 0.000" Properties=species:S:1:pos:R:3 pbc="T T T"
Pm 0.000 0.000 0.000
Pm 3.104 3.123 6.100
Pm 3.104 3.123 9.486
Pm 3.104 6.627 6.100
Pm 3.104 6.627 9.486
Bi 3.104 4.875 3.099
Bi 3.104 4.875 12.487
N 1.552 2.438 0.000
N 1.552 2.438 7.793
```

Principal peaks in the range 2θ from 5° to 70°, sorted by position:
two_theta, intensity
21.5, 19
28.8, 72
29.3, 36
31.6, 94
33.5, 100
35.7, 27
41.6, 34
52.8, 22
54.0, 26
57.7, 34


Record 2
Theoretical XRD peak list of Ho6Er5Th2 for Cu Kα X-rays, from a crystal structure in Alexandria, relaxed with GGA-PBE.
Lines closer than 0.1° are merged.

Crystal structure
```
26
Lattice="11.507 0.000 0.000 0.000 20.244 0.000 0.000 0.000 3.545" Properties=species:S:1:pos:R:3 pbc="T T T"
Ho 0.809 1.392 0.000
Ho 0.808 7.227 0.000
Ho 2.096 12.634 1.773
Ho 3.657 2.512 1.773
Ho 4.944 11.514 0.000
Ho 4.945 17.349 0.000
Ho 6.561 2.895 0.000
Ho 6.562 8.730 0.000
Ho 7.850 17.731 1.773
Ho 9.411 7.609 1.773
Ho 10.699 13.017 0.000
Ho 10.698 18.851 0.000
Er 0.000 10.122 1.773
Er 0.952 4.311 1.773
Er 2.248 18.860 1.773
Er 3.505 8.738 1.773
Er 4.801 14.433 1.773
Er 5.753 0.000 1.773
Er 6.706 5.810 1.773
Er 8.002 11.506 1.773
Er 9.259 1.384 1.773
Er 10.554 15.932 1.773
Th 2.035 15.615 0.000
Th 3.718 5.494 0.000
Th 7.789 14.750 0.000
Th 9.472 4.628 0.000
```

Principal peaks in the range 2θ from 5° to 70°, sorted by position:
two_theta, intensity
29.5, 22
31.4, 71
31.8, 46
31.9, 63
32.5, 100
34.6, 50
35.4, 24
37.0, 23
52.7, 26
61.7, 29


Record 3
Theoretical XRD peak list of Ca2Zn2Ag15 for Cu Kα X-rays, from a crystal structure in Alexandria, relaxed with GGA-PBE.
Lines closer than 0.1° are merged.

Crystal structure
```
19
Lattice="4.812 2.778 4.742 -4.812 2.778 4.742 0.000 -5.557 4.742" Properties=species:S:1:pos:R:3 pbc="T T T"
Ca 0.000 0.000 2.254
Ca 0.000 0.000 11.973
Zn 0.000 0.000 5.748
Zn 0.000 0.000 8.478
Ag -2.406 -1.389 4.742
Ag 0.000 -2.786 4.572
Ag -2.413 1.393 4.572
Ag -1.470 -2.546 7.113
Ag -2.940 0.000 7.113
Ag -2.413 -1.393 9.655
Ag -2.406 1.389 9.485
Ag 1.470 -2.546 7.113
Ag 0.000 2.778 4.742
Ag -1.470 2.546 7.113
Ag 2.413 1.393 4.572
Ag 2.940 0.000 7.113
Ag 1.470 2.546 7.113
Ag 2.413 -1.393 9.655
Ag 0.000 2.786 9.655
```

Principal peaks in the range 2θ from 5° to 70°, sorted by position:
two_theta, intensity
18.4, 51
32.2, 17
37.4, 39
37.5, 88
37.9, 36
42.1, 100
42.5, 30
61.0, 16
67.4, 21
68.3, 16


Copy entry 1 word for word.
Theoretical XRD peak list of Pm5Bi2N2 for Cu Kα X-rays, from a crystal structure in Alexandria, relaxed with GGA-PBE.
Lines closer than 0.1° are merged.

Crystal structure
```
9
Lattice="0.000 4.875 7.793 3.104 0.000 7.793 3.104 4.875 0.000" Properties=species:S:1:pos:R:3 pbc="T T T"
Pm 0.000 0.000 0.000
Pm 3.104 3.123 6.100
Pm 3.104 3.123 9.486
Pm 3.104 6.627 6.100
Pm 3.104 6.627 9.486
Bi 3.104 4.875 3.099
Bi 3.104 4.875 12.487
N 1.552 2.438 0.000
N 1.552 2.438 7.793
```

Principal peaks in the range 2θ from 5° to 70°, sorted by position:
two_theta, intensity
21.5, 19
28.8, 72
29.3, 36
31.6, 94
33.5, 100
35.7, 27
41.6, 34
52.8, 22
54.0, 26
57.7, 34